Na3Li5Mn5O9: computed powder diffractogram (a wavelength of 1.5418 Å), based on a crystal structure in Alexandria, relaxed with PBE+U.
Peak positions follow from Bragg's law for the DFT cell and can differ from measured ones.

Top 10 peaks for 10 to 80 degrees two-theta, sorted by position:
20.17 deg, I = 100.0, (0 0 2); 30.26 deg, I = 35.2, (1 1 -1); 30.43 deg, I = 75.7, (2 -1 0); 31.06 deg, I = 40.5, (1 -2 1); 34.88 deg, I = 38.2, (-2 1 2); 38.55 deg, I = 47.2, (-1 2 2); 38.70 deg, I = 94.6, (2 -1 2); 41.01 deg, I = 45.5, (0 0 4); 53.46 deg, I = 59.8, (3 0 -1); 53.89 deg, I = 28.2, (3 -3 0)

Crystal structure
Cell: 5.908 5.909 9.002 Å, 95.91 96.19 119.50°
Fractional coordinates of all 22 atoms:
Na (0.000, 0.000, 0.000)
Na (0.316, 0.646, 0.000)
Na (0.684, 0.318, 0.001)
Li (0.169, 0.436, 0.504)
Li (0.459, 0.140, 0.478)
Li (0.588, 0.857, 0.563)
Li (0.861, 0.538, 0.560)
Li (0.932, 0.249, 0.747)
Mn (0.074, 0.731, 0.279)
Mn (0.262, 0.928, 0.745)
Mn (0.430, 0.422, 0.270)
Mn (0.579, 0.563, 0.758)
Mn (0.757, 0.068, 0.280)
O (0.058, 0.376, 0.190)
O (0.206, 0.791, 0.511)
O (0.281, 0.271, 0.840)
O (0.392, 0.049, 0.208)
O (0.513, 0.492, 0.511)
O (0.619, 0.934, 0.809)
O (0.727, 0.714, 0.179)
O (0.816, 0.188, 0.510)
O (0.949, 0.603, 0.810)